Starting from a DFT-relaxed cell (GGA-PBE, the Materials Project), the powder X-ray diffraction pattern of Tl3Ir was simulated for a wavelength of 1.5418 Å.

Structure:
a b c (Å): 5.1368 5.1368 5.1368
angles (deg): 60.00 60.00 60.00
Atoms (fractional coordinates):
1 Tl 0.0000 0.0000 0.0000
2 Tl 0.2500 0.2500 0.2500
3 Tl 0.7500 0.7500 0.7500
4 Ir 0.5000 0.5000 0.5000

Top 5 peaks for 15° ≤ 2θ ≤ 90°, in order of rising 2θ:
two_theta, d [Å], Rel. int.
34.93, 2.568, 100
50.24, 1.816, 18
62.65, 1.483, 38
73.78, 1.284, 12
84.32, 1.149, 17